1.
Simulated X-ray powder pattern
Compound: MnFeNiSb
Radiation: CuKα
Structure: the GGA-PBE geometry in Alexandria

Top 10 peaks for 10 to 90 degrees two-theta, low angle first:
2θ/deg  I_rel
25.55  12
29.58  4
42.33  100
50.09  6
52.48  1
61.40  16
67.61  3
69.62  2
77.41  31
83.10  2

Cell and atoms:
```
4
Lattice="0.0000 3.0198 3.0198 3.0198 0.0000 3.0198 3.0198 3.0198 0.0000" Properties=species:S:1:pos:R:3 pbc="T T T"
Mn 0.0000 0.0000 0.0000
Fe 1.5099 1.5099 1.5099
Ni 4.5297 4.5297 4.5297
Sb 3.0198 3.0198 3.0198
```

2.
Simulated X-ray powder pattern
Compound: MnFeSi2Ni
Radiation: CuKα
Structure: the GGA-PBE geometry in Alexandria

Top 12 peaks for 10 to 90 degrees two-theta, low angle first:
2θ/deg  I_rel
21.16  47
28.73  52
30.09  75
35.95  69
39.00  67
43.08  100
50.03  34
52.60  18
59.49  72
62.56  31
74.31  15
76.23  33

Cell and atoms:
```
5
Lattice="4.1996 0.0000 0.0000 0.0000 4.1996 0.0000 0.0000 0.0000 4.6195" Properties=species:S:1:pos:R:3 pbc="T T T"
Mn 0.0000 0.0000 0.0000
Fe 2.0998 2.0998 0.0000
Si 0.0000 2.0998 2.3098
Si 2.0998 0.0000 2.3098
Ni 0.0000 0.0000 2.3098
```